No. 1
Calculated powder diffractogram
Compound: TbTh6Sc8
Radiation: Cu Kα, 1.54184 Å
Structure: DFT lattice parameters and positions (GGA-PBE)
Intensities are scaled so that the largest is 100.

Crystal structure
Cell lengths 7.8550, 7.8550, 7.8550 Å; angles 71.77, 71.77, 71.77 degrees
Fractional coordinates of all 15 atoms:
Tb 0.0000 0.0000 0.0000
Th 0.1782 0.4334 0.6163
Th 0.3837 0.8218 0.5666
Th 0.4334 0.6163 0.1782
Th 0.5666 0.3837 0.8218
Th 0.6163 0.1782 0.4334
Th 0.8218 0.5666 0.3837
Sc 0.0472 0.8692 0.3806
Sc 0.1308 0.6194 0.9528
Sc 0.2261 0.2261 0.2261
Sc 0.3806 0.0472 0.8692
Sc 0.6194 0.9528 0.1308
Sc 0.7739 0.7739 0.7739
Sc 0.8692 0.3806 0.0472
Sc 0.9528 0.1308 0.6194

Top 6 peaks for 10° ≤ 2θ ≤ 80°, sorted by position:
two_theta, d [Å], I/Imax
12.21, 7.246, 28.2
24.72, 3.602, 40.4
28.05, 3.181, 29.5
30.09, 2.970, 38.9
31.42, 2.847, 100.0
36.30, 2.475, 80.4

=====

No. 2
Calculated powder diffractogram
Compound: Cs4RbCl
Radiation: Cu Kα, 1.54184 Å
Structure: DFT lattice parameters and positions (GGA-PBE)
Intensities are scaled so that the largest is 100.

Crystal structure
Cell lengths 13.6301, 13.6353, 11.4625 Å; angles 90.00, 90.00, 90.00 degrees
Fractional coordinates of all 24 atoms:
Cs 0.9996 0.2446 0.0784
Cs 0.0004 0.7554 0.0784
Cs 0.1937 0.3076 0.7021
Cs 0.1953 0.6946 0.7011
Cs 0.2294 0.0005 0.9207
Cs 0.2706 0.5005 0.0793
Cs 0.3047 0.1946 0.2989
Cs 0.3063 0.8076 0.2979
Cs 0.4996 0.2554 0.9216
Cs 0.5004 0.7446 0.9216
Cs 0.6937 0.1924 0.2979
Cs 0.6953 0.8054 0.2989
Cs 0.7294 0.4995 0.0793
Cs 0.7706 0.9995 0.9207
Cs 0.8047 0.3054 0.7011
Cs 0.8063 0.6924 0.7021
Rb 0.0000 0.0000 0.4979
Rb 0.0000 0.5000 0.3998
Rb 0.5000 0.0000 0.6002
Rb 0.5000 0.5000 0.5021
Cl 0.2497 0.2505 0.0002
Cl 0.2503 0.7505 0.9998
Cl 0.7497 0.2495 0.9998
Cl 0.7503 0.7495 0.0002

Top 6 peaks for 10° ≤ 2θ ≤ 80°, sorted by position:
two_theta, d [Å], I/Imax
19.98, 4.443, 100.0
21.03, 4.224, 93.3
21.28, 4.176, 69.1
24.17, 3.683, 49.3
24.80, 3.591, 42.2
26.15, 3.408, 47.1

=====

No. 3
Calculated powder diffractogram
Compound: YMg14Nb
Radiation: Cu Kα, 1.54184 Å
Structure: DFT lattice parameters and positions (GGA-PBE)
Intensities are scaled so that the largest is 100.

Crystal structure
Cell lengths 6.4613, 6.4613, 10.1712 Å; angles 90.00, 90.00, 120.00 degrees
Fractional coordinates of all 16 atoms:
Y 0.0000 0.0000 0.0000
Mg 0.0118 0.5059 0.0000
Mg 0.1630 0.3261 0.2623
Mg 0.1630 0.3261 0.7377
Mg 0.1630 0.8370 0.2623
Mg 0.1630 0.8370 0.7377
Mg 0.4941 0.5059 0.0000
Mg 0.4941 0.9882 0.0000
Mg 0.5018 0.0036 0.5000
Mg 0.5018 0.4982 0.5000
Mg 0.6667 0.3333 0.2411
Mg 0.6667 0.3333 0.7589
Mg 0.6739 0.8370 0.2623
Mg 0.6739 0.8370 0.7377
Mg 0.9964 0.4982 0.5000
Nb 0.0000 0.0000 0.5000

Top 6 peaks for 10° ≤ 2θ ≤ 80°, sorted by position:
two_theta, d [Å], I/Imax
15.84, 5.596, 34.8
23.64, 3.763, 24.1
31.99, 2.798, 28.4
35.30, 2.543, 23.7
36.66, 2.451, 100.0
68.86, 1.363, 18.4

=====

No. 4
Calculated powder diffractogram
Compound: LiTaTc2
Radiation: Cu Kα, 1.54184 Å
Structure: DFT lattice parameters and positions (GGA-PBE)
Intensities are scaled so that the largest is 100.

Crystal structure
Cell lengths 5.1988, 5.1988, 5.1988 Å; angles 145.48, 129.99, 62.19 degrees
Fractional coordinates of all 4 atoms:
Li 0.0000 0.0000 0.0000
Ta 0.2697 0.7697 0.5000
Tc 0.5152 0.5152 0.0000
Tc 0.7489 0.2489 0.5000

Top 6 peaks for 10° ≤ 2θ ≤ 80°, sorted by position:
two_theta, d [Å], I/Imax
19.94, 4.452, 25.2
22.56, 3.941, 23.9
40.53, 2.226, 20.0
41.09, 2.197, 100.0
59.07, 1.564, 13.1
74.87, 1.268, 19.9